Simulated powder diffractogram
Compound: K3Rh2Cl9
Radiation: Cu Kα X-rays
Structure: the GGA-PBE geometry in Alexandria

Peak list (8 most intense, 2θ = 5–70°, by angle)
hkl	d_spacing	2θ/deg	I_rel
0 1 2	7.096	12.5	86.3
1 1 0	5.855	15.1	100.0
1 0 4	4.460	19.9	22.9
3 0 0	3.380	26.4	29.0
1 1 6	2.882	31.0	36.0
2 2 3	2.678	33.5	80.9
2 2 6	2.193	41.2	49.4
6 0 0	1.690	54.3	28.0

Cell and atoms:
abc: 11.7103 11.7103 19.8633
angles: 90.00 90.00 120.00
Space group R-3c (No. 167, hexagonal axes)
Unique sites:
K 0.0000 0.3420 0.2500 [18 per cell]
Rh 0.0000 0.0000 0.1723 [12 per cell]
Cl 0.0000 0.1576 0.7500 [18 per cell]
Cl 0.0012 0.1666 0.1071 [36 per cell]